Structure and computed powder XRD pattern of Ba3TaN3 (a cell relaxed with GGA-PBE; copper Kα).
Peak positions follow from Bragg's law for the DFT cell and can differ from measured ones.

Cell: 8.3666 8.3666 5.8595 Å, 90.00 90.00 120.00°
Space group P6_3/m (No. 176)
One atom of each set of equivalent atoms:
Ba 0.1117 0.3617 0.2500 x6
Ta 0.3333 0.6667 0.7500 x2
N 0.1396 0.4078 0.7500 x6

Principal peaks in the range 2θ from 10° to 80°, low angle first:
| d_spacing | 2θ/deg | I_rel |
| --- | --- | --- |
| 3.623 | 24.57 | 27 |
| 3.405 | 26.17 | 30 |
| 3.081 | 28.98 | 100 |
| 2.930 | 30.51 | 36 |
| 2.739 | 32.70 | 21 |
| 2.278 | 39.56 | 15 |
| 2.001 | 45.33 | 16 |
| 1.719 | 53.28 | 19 |